For MgZn2Co2P2O10, a cell relaxed with GGA+U gives the theoretical X-ray powder pattern in this record (Cu Ka).
Intensities are scaled so that the largest is 100.

Structural model:
```
data_MgZn2Co2P2O10
_chemical_formula_sum 'Mg1 Zn2 Co2 P2 O10'
_symmetry_space_group_name_H-M 'P 1'
_symmetry_Int_Tables_number 1
_cell_length_a 5.5015
_cell_length_b 5.7665
_cell_length_c 6.9671
_cell_angle_alpha 106.61
_cell_angle_beta 106.14
_cell_angle_gamma 92.23
loop_
_symmetry_equiv_pos_as_xyz
'x,y,z'
loop_
_atom_site_label
_atom_site_type_symbol
_atom_site_fract_x
_atom_site_fract_y
_atom_site_fract_z
Mg1 Mg 0.0000 0.0000 0.0000
Zn1 Zn 0.2619 0.3819 0.5063
Zn2 Zn 0.6554 0.6045 0.9981
Co1 Co 0.4268 0.9788 0.7329
Co2 Co 0.6083 0.0683 0.3080
P1 P 0.1572 0.4643 0.0196
P2 P 0.8112 0.6607 0.5227
O1 O 0.0342 0.8380 0.7049
O2 O 0.1778 0.7412 0.1117
O3 O 0.2493 0.3162 0.1797
O4 O 0.3213 0.3930 0.8645
O5 O 0.4249 0.1028 0.5091
O6 O 0.5737 0.6529 0.6033
O7 O 0.6452 0.9524 0.0138
O8 O 0.7548 0.7483 0.3268
O9 O 0.8733 0.3531 0.9071
O10 O 0.8900 0.3977 0.4596
```

Main lines, in order of rising 2θ (10° ≤ 2θ ≤ 90°):
2θ 16.92, rel. 34; 2θ 24.99, rel. 79; 2θ 27.73, rel. 100; 2θ 28.05, rel. 54; 2θ 32.80, rel. 50; 2θ 34.95, rel. 64; 2θ 35.78, rel. 49; 2θ 36.78, rel. 41